No. 1
Structure and simulated powder XRD pattern of HoTePd6 (a cell relaxed with PBE; Cu Kα X-rays).

```
data_HoTePd6
_chemical_formula_sum 'Ho1 Te1 Pd6'
_cell_length_a 4.095
_cell_length_b 4.095
_cell_length_c 8.207
_cell_angle_alpha 90.00
_cell_angle_beta 90.00
_cell_angle_gamma 90.00
_symmetry_space_group_name_H-M 'P 4/m m m'
_symmetry_Int_Tables_number 123
_symmetry_space_group_name_Hall '-P 4 2'
loop_
_atom_site_label
_atom_site_type_symbol
_atom_site_fract_x
_atom_site_fract_y
_atom_site_fract_z
_atom_site_occupancy
Ho1 Ho 0.000 0.000 0.000 1
Te1 Te 0.000 0.000 0.500 1
Pd1 Pd 0.000 0.500 0.253 1
Pd2 Pd 0.500 0.500 0.000 1
Pd3 Pd 0.500 0.500 0.500 1
```

Principal peaks in the range 10° ≤ 2θ ≤ 80°, by angle:
d_spacing  I/Imax
4.098  2
3.664  1
2.898  1
2.732  1
2.366  100
2.049  49
1.833  1
1.673  1
1.449  31
1.237  12
1.235  24



No. 2
Structure and simulated powder XRD pattern of Ac2Tb4Tl3O2 (a cell relaxed with PBE; Cu Kα X-rays).

```
data_Ac2Tb4Tl3O2
_chemical_formula_sum 'Ac4 Tb8 Tl6 O4'
_cell_length_a 4.825
_cell_length_b 4.825
_cell_length_c 25.986
_cell_angle_alpha 90.00
_cell_angle_beta 90.00
_cell_angle_gamma 90.00
_symmetry_space_group_name_H-M 'I 4/m m m'
_symmetry_Int_Tables_number 139
_symmetry_space_group_name_Hall '-I 4 2'
loop_
_atom_site_label
_atom_site_type_symbol
_atom_site_fract_x
_atom_site_fract_y
_atom_site_fract_z
_atom_site_occupancy
Ac1 Ac 0.000 0.000 0.195 1
Tb1 Tb 0.000 0.500 0.080 1
Tl1 Tl 0.000 0.000 0.333 1
Tl2 Tl 0.000 0.000 0.500 1
O1 O 0.000 0.000 0.094 1
```

Principal peaks in the range 10° ≤ 2θ ≤ 80°, by angle:
d_spacing  I/Imax
3.300  38
3.248  14
2.942  31
2.680  100
2.413  55
1.937  13
1.866  17
1.847  11
1.706  19
1.612  11
1.466  12
1.439  31



No. 3
Structure and simulated powder XRD pattern of Ce12PaCo6 (a cell relaxed with PBE; Cu Kα X-rays).

```
data_Ce12PaCo6
_chemical_formula_sum 'Ce36 Pa3 Co18'
_cell_length_a 9.9871
_cell_length_b 9.9871
_cell_length_c 14.6664
_cell_angle_alpha 90.00
_cell_angle_beta 90.00
_cell_angle_gamma 120.00
_symmetry_space_group_name_H-M 'R -3 m'
_symmetry_Int_Tables_number 166
_symmetry_space_group_name_Hall '-R 3 2"'
loop_
_atom_site_label
_atom_site_type_symbol
_atom_site_fract_x
_atom_site_fract_y
_atom_site_fract_z
_atom_site_occupancy
Ce1 Ce 0.0483 0.5241 0.4040 1
Ce2 Ce 0.0741 0.5371 0.0974 1
Pa1 Pa 0.0000 0.0000 0.0000 1
Co1 Co 0.0915 0.5458 0.7760 1
```

Principal peaks in the range 10° ≤ 2θ ≤ 80°, by angle:
d_spacing  I/Imax
3.725  18
3.191  21
2.883  18
2.797  16
2.497  46
2.483  100
2.442  41
1.864  23
1.761  23
1.665  13
1.441  16
1.333  26



No. 4
Structure and simulated powder XRD pattern of SnGe2Bi2Pt7 (a cell relaxed with PBE; Cu Kα X-rays).

```
data_SnGe2Bi2Pt7
_chemical_formula_sum 'Sn2 Ge4 Bi4 Pt14'
_cell_length_a 5.724
_cell_length_b 5.690
_cell_length_c 14.409
_cell_angle_alpha 90.00
_cell_angle_beta 97.33
_cell_angle_gamma 90.00
_symmetry_space_group_name_H-M 'C 1 2/m 1'
_symmetry_Int_Tables_number 12
loop_
_symmetry_equiv_pos_as_xyz
'x,y,z'
'-x,-y,-z'
'-x,y,-z'
'x,-y,z'
'x+1/2,y+1/2,z'
'-x+1/2,-y+1/2,-z'
'-x+1/2,y+1/2,-z'
'x+1/2,-y+1/2,z'
loop_
_atom_site_label
_atom_site_type_symbol
_atom_site_fract_x
_atom_site_fract_y
_atom_site_fract_z
_atom_site_occupancy
Sn1 Sn 0.000 0.000 0.000 1
Ge1 Ge 0.083 0.500 0.252 1
Bi1 Bi 0.122 0.000 0.387 1
Pt1 Pt 0.000 0.500 0.000 1
Pt2 Pt 0.141 0.500 0.427 1
Pt3 Pt 0.200 0.250 0.853 1
```

Principal peaks in the range 10° ≤ 2θ ≤ 80°, by angle:
d_spacing  I/Imax
3.573  28
2.858  28
2.790  43
2.643  26
2.588  49
2.530  57
2.442  63
2.042  25
2.015  100
2.009  23
1.825  32
1.399  21